Record 1
For BaAg2Te2, DFT lattice parameters and positions (PBE) gives the theoretical powder X-ray diffraction pattern in this record (Cu Kα (λ = 1.5418 Å)).
Intensities are scaled so that the largest is 1000.

Crystal structure
abc: 10.9729 4.6532 11.8807
angles: 90.00 90.00 90.00
Positions (direct):
1 Ba 0.2450 0.2500 0.1923
2 Ba 0.2550 0.7500 0.6923
3 Ba 0.7450 0.2500 0.3077
4 Ba 0.7550 0.7500 0.8077
5 Ag 0.0599 0.7500 0.4140
6 Ag 0.0608 0.7500 0.9509
7 Ag 0.4392 0.2500 0.4509
8 Ag 0.4401 0.2500 0.9140
9 Ag 0.5599 0.7500 0.0860
10 Ag 0.5608 0.7500 0.5491
11 Ag 0.9392 0.2500 0.0491
12 Ag 0.9401 0.2500 0.5860
13 Te 0.0212 0.2500 0.8129
14 Te 0.1824 0.2500 0.4804
15 Te 0.3176 0.7500 0.9804
16 Te 0.4788 0.7500 0.3129
17 Te 0.5212 0.2500 0.6871
18 Te 0.6824 0.2500 0.0196
19 Te 0.8176 0.7500 0.5196
20 Te 0.9788 0.7500 0.1871

Principal peaks in the range 15° ≤ 2θ ≤ 90°, in order of rising 2θ:
two_theta  I_rel
26.21  1000
28.66  402
30.75  681
36.82  469
38.71  559
41.11  382

Record 2
For Sc2CdS4, DFT lattice parameters and positions (PBE) gives the theoretical powder X-ray diffraction pattern in this record (Cu Kα (λ = 1.5418 Å)).
Intensities are scaled so that the largest is 1000.

Crystal structure
abc: 6.9455 6.9455 6.9455
angles: 130.90 130.90 71.97
Positions (direct):
1 Sc 0.0000 0.0000 0.0000
2 Sc 0.7500 0.2500 0.5000
3 Cd 0.2500 0.7500 0.5000
4 S 0.1202 0.1377 0.4992
5 S 0.3790 0.8798 0.0175
6 S 0.6386 0.6210 0.5008
7 S 0.8623 0.3614 0.9825

Principal peaks in the range 15° ≤ 2θ ≤ 90°, in order of rising 2θ:
two_theta  I_rel
17.27  292
21.78  184
27.00  1000
44.40  223
45.03  426
52.74  271